# 1
Structure and computed powder diffraction line list of ZnCdC4Se4N4 (a crystal structure in Alexandria, relaxed with GGA-PBE; Cu Kα, 1.54184 Å).
Peak positions follow from Bragg's law for the DFT cell and can differ from measured ones.

Crystal structure
```
ZnCdC4Se4N4
1.0
-5.702 5.702 2.651
5.702 -5.702 2.651
5.702 5.702 -2.651
Zn Cd C Se N
1 1 4 4 4
direct
0.000 0.000 0.000 Zn
0.250 0.750 0.500 Cd
0.288 0.562 0.157 C
0.405 0.131 0.843 C
0.438 0.595 0.726 C
0.869 0.712 0.274 C
0.112 0.349 0.566 Se
0.454 0.888 0.237 Se
0.651 0.217 0.763 Se
0.783 0.546 0.434 Se
0.181 0.352 0.100 N
0.252 0.081 0.900 N
0.648 0.748 0.829 N
0.919 0.819 0.171 N
```

Principal peaks in the range 2θ = 10–90°, in order of falling intensity:
| 2θ (°) | Rel. int. |
| --- | --- |
| 24.22 | 100 |
| 42.32 | 34 |
| 10.97 | 30 |
| 15.54 | 30 |
| 43.18 | 26 |
| 28.90 | 25 |
| 32.98 | 23 |
| 24.69 | 22 |
| 35.20 | 16 |
| 36.65 | 10 |


# 2
Structure and computed powder diffraction line list of Na2CdC2O6 (a crystal structure in Alexandria, relaxed with GGA-PBE; Cu Kα, 1.54184 Å).
Peak positions follow from Bragg's law for the DFT cell and can differ from measured ones.

Crystal structure
```
Na2CdC2O6
1.0
4.459 -2.597 0.000
4.459 2.597 0.000
-2.932 0.000 5.815
Na Cd C O
2 1 2 6
direct
0.193 0.193 0.140 Na
0.807 0.807 0.860 Na
0.000 0.000 0.500 Cd
0.453 0.453 0.743 C
0.547 0.547 0.257 C
0.245 0.676 0.212 O
0.294 0.294 0.666 O
0.324 0.755 0.788 O
0.676 0.245 0.212 O
0.706 0.706 0.334 O
0.755 0.324 0.788 O
```

Principal peaks in the range 2θ = 10–90°, in order of falling intensity:
| 2θ (°) | Rel. int. |
| --- | --- |
| 32.55 | 100 |
| 22.32 | 81 |
| 15.24 | 39 |
| 20.42 | 37 |
| 34.77 | 37 |
| 45.54 | 33 |
| 46.91 | 30 |
| 28.49 | 26 |
| 48.13 | 24 |
| 20.59 | 20 |


# 3
Structure and computed powder diffraction line list of CdCO2 (a crystal structure in Alexandria, relaxed with GGA-PBE; Cu Kα, 1.54184 Å).
Peak positions follow from Bragg's law for the DFT cell and can differ from measured ones.

Crystal structure
```
CdCO2
1.0
1.633 0.943 9.424
-1.633 0.943 9.424
0.000 -1.886 9.424
Cd C O
1 1 2
direct
0.000 0.000 0.000 Cd
0.500 0.500 0.500 C
0.458 0.458 0.458 O
0.542 0.542 0.542 O
```

Principal peaks in the range 2θ = 10–90°, in order of falling intensity:
| 2θ (°) | Rel. int. |
| --- | --- |
| 32.27 | 100 |
| 18.83 | 86 |
| 34.14 | 72 |
| 28.41 | 32 |
| 38.87 | 32 |
| 35.48 | 29 |
| 40.86 | 25 |
| 47.81 | 24 |
| 31.79 | 22 |
| 59.94 | 20 |


# 4
Structure and computed powder diffraction line list of CdPbC2O6 (a crystal structure in Alexandria, relaxed with GGA-PBE; Cu Kα, 1.54184 Å).
Peak positions follow from Bragg's law for the DFT cell and can differ from measured ones.

Crystal structure
```
CdPbC2O6
1.0
2.583 1.491 5.887
-2.583 1.491 5.887
0.000 -2.982 5.887
Cd Pb C O
1 1 2 6
direct
0.000 0.000 0.000 Cd
0.500 0.500 0.500 Pb
0.256 0.256 0.256 C
0.744 0.744 0.744 C
0.018 0.519 0.229 O
0.229 0.018 0.519 O
0.481 0.771 0.982 O
0.519 0.229 0.018 O
0.771 0.982 0.481 O
0.982 0.481 0.771 O
```

Principal peaks in the range 2θ = 10–90°, in order of falling intensity:
| 2θ (°) | Rel. int. |
| --- | --- |
| 28.40 | 100 |
| 22.28 | 85 |
| 46.80 | 40 |
| 34.74 | 39 |
| 41.66 | 28 |
| 45.84 | 25 |
| 55.32 | 24 |
| 45.46 | 18 |
| 58.45 | 18 |
| 70.11 | 10 |


# 5
Structure and computed powder diffraction line list of Rb2CdCO4 (a crystal structure in Alexandria, relaxed with GGA-PBE; Cu Kα, 1.54184 Å).
Peak positions follow from Bragg's law for the DFT cell and can differ from measured ones.

Crystal structure
```
Rb2CdCO4
1.0
0.000 5.592 10.965
2.648 0.000 10.965
2.648 5.592 0.000
Rb Cd C O
4 2 2 8
direct
0.054 0.054 0.696 Rb
0.304 0.304 0.946 Rb
0.696 0.696 0.054 Rb
0.946 0.946 0.304 Rb
0.125 0.125 0.125 Cd
0.875 0.875 0.875 Cd
0.375 0.375 0.375 C
0.625 0.625 0.625 C
0.107 0.568 0.493 O
0.332 0.493 0.568 O
0.432 0.893 0.668 O
0.493 0.332 0.107 O
0.507 0.668 0.893 O
0.568 0.107 0.332 O
0.668 0.507 0.432 O
0.893 0.432 0.507 O
```

Principal peaks in the range 2θ = 10–90°, in order of falling intensity:
| 2θ (°) | Rel. int. |
| --- | --- |
| 29.19 | 100 |
| 18.98 | 63 |
| 35.87 | 59 |
| 27.58 | 58 |
| 37.58 | 49 |
| 16.17 | 48 |
| 29.58 | 40 |
| 32.01 | 37 |
| 42.14 | 33 |
| 53.88 | 32 |


# 6
Structure and computed powder diffraction line list of Pm2CdC2 (a crystal structure in Alexandria, relaxed with GGA-PBE; Cu Kα, 1.54184 Å).
Peak positions follow from Bragg's law for the DFT cell and can differ from measured ones.

Crystal structure
```
Pm2CdC2
1.0
8.105 -2.041 0.000
8.105 2.041 0.000
-2.878 0.000 6.335
Pm Cd C
4 2 4
direct
0.013 0.680 0.902 Pm
0.320 0.987 0.598 Pm
0.680 0.013 0.402 Pm
0.987 0.320 0.098 Pm
0.402 0.598 0.750 Cd
0.598 0.402 0.250 Cd
0.144 0.407 0.485 C
0.407 0.144 0.985 C
0.593 0.856 0.015 C
0.856 0.593 0.515 C
```

Principal peaks in the range 2θ = 10–90°, in order of falling intensity:
| 2θ (°) | Rel. int. |
| --- | --- |
| 27.99 | 100 |
| 28.56 | 66 |
| 28.42 | 55 |
| 35.15 | 55 |
| 35.40 | 53 |
| 36.53 | 35 |
| 46.83 | 35 |
| 34.34 | 34 |
| 44.96 | 26 |
| 28.18 | 21 |


# 7
Structure and computed powder diffraction line list of Pm6Cd2C (a crystal structure in Alexandria, relaxed with GGA-PBE; Cu Kα, 1.54184 Å).
Peak positions follow from Bragg's law for the DFT cell and can differ from measured ones.

Crystal structure
```
Pm6Cd2C
1.0
6.178 -3.587 0.000
6.178 3.587 0.000
-4.182 0.000 5.876
Pm Cd C
6 2 1
direct
0.209 0.719 0.707 Pm
0.243 0.243 0.815 Pm
0.281 0.791 0.293 Pm
0.719 0.209 0.707 Pm
0.757 0.757 0.185 Pm
0.791 0.281 0.293 Pm
0.253 0.253 0.257 Cd
0.747 0.747 0.743 Cd
0.000 0.000 0.500 C
```

Principal peaks in the range 2θ = 10–90°, in order of falling intensity:
| 2θ (°) | Rel. int. |
| --- | --- |
| 30.59 | 100 |
| 35.29 | 46 |
| 30.42 | 29 |
| 50.94 | 19 |
| 35.68 | 17 |
| 60.45 | 12 |
| 29.18 | 10 |
| 51.15 | 9 |
| 29.41 | 9 |
| 29.10 | 9 |


# 8
Structure and computed powder diffraction line list of Pr6Cd2C (a crystal structure in Alexandria, relaxed with GGA-PBE; Cu Kα, 1.54184 Å).
Peak positions follow from Bragg's law for the DFT cell and can differ from measured ones.

Crystal structure
```
Pr6Cd2C
1.0
7.309 0.000 0.000
0.000 7.293 0.000
-7.263 0.000 10.212
Pr Cd C
12 4 2
direct
0.188 0.000 0.257 Pr
0.188 0.500 0.757 Pr
0.289 0.244 0.533 Pr
0.289 0.256 0.033 Pr
0.290 0.745 0.033 Pr
0.290 0.755 0.533 Pr
0.710 0.245 0.467 Pr
0.710 0.255 0.967 Pr
0.711 0.744 0.967 Pr
0.711 0.756 0.467 Pr
0.812 0.000 0.743 Pr
0.812 0.500 0.243 Pr
0.258 0.501 0.252 Cd
0.258 0.999 0.752 Cd
0.742 0.001 0.248 Cd
0.742 0.499 0.748 Cd
0.500 0.000 0.500 C
0.500 0.500 0.000 C
```

Principal peaks in the range 2θ = 10–90°, in order of falling intensity:
| 2θ (°) | Rel. int. |
| --- | --- |
| 30.12 | 100 |
| 34.76 | 46 |
| 30.01 | 29 |
| 59.48 | 21 |
| 35.15 | 18 |
| 28.71 | 16 |
| 50.18 | 10 |
| 50.35 | 10 |
| 50.03 | 10 |
| 62.62 | 8 |


# 9
Structure and computed powder diffraction line list of CdRh3C (a crystal structure in Alexandria, relaxed with GGA-PBE; Cu Kα, 1.54184 Å).
Peak positions follow from Bragg's law for the DFT cell and can differ from measured ones.

Crystal structure
```
CdRh3C
1.0
2.928 -4.815 0.000
2.928 4.815 0.000
-2.703 0.000 4.999
Cd Rh C
2 6 2
direct
0.005 0.995 0.500 Cd
0.995 0.005 0.000 Cd
0.020 0.529 0.164 Rh
0.041 0.541 0.667 Rh
0.480 0.489 0.983 Rh
0.489 0.480 0.483 Rh
0.529 0.020 0.664 Rh
0.541 0.041 0.167 Rh
0.451 0.736 0.302 C
0.736 0.451 0.802 C
```

Principal peaks in the range 2θ = 10–90°, in order of falling intensity:
| 2θ (°) | Rel. int. |
| --- | --- |
| 39.68 | 100 |
| 40.67 | 79 |
| 37.35 | 61 |
| 40.98 | 44 |
| 36.27 | 36 |
| 53.05 | 26 |
| 68.93 | 21 |
| 69.62 | 15 |
| 35.93 | 14 |
| 75.53 | 14 |


# 10
Structure and computed powder diffraction line list of ScCdC (a crystal structure in Alexandria, relaxed with GGA-PBE; Cu Kα, 1.54184 Å).
Peak positions follow from Bragg's law for the DFT cell and can differ from measured ones.

Crystal structure
```
ScCdC
1.0
1.865 1.077 8.691
-1.865 1.077 8.691
0.000 -2.154 8.691
Sc Cd C
2 2 2
direct
0.125 0.125 0.125 Sc
0.875 0.875 0.875 Sc
0.377 0.377 0.377 Cd
0.623 0.623 0.623 Cd
0.225 0.225 0.225 C
0.775 0.775 0.775 C
```

Principal peaks in the range 2θ = 10–90°, in order of falling intensity:
| 2θ (°) | Rel. int. |
| --- | --- |
| 30.89 | 100 |
| 39.27 | 58 |
| 48.83 | 32 |
| 10.18 | 26 |
| 66.01 | 22 |
| 58.91 | 18 |
| 41.56 | 16 |
| 32.61 | 14 |
| 27.83 | 13 |
| 64.37 | 12 |


# 11
Structure and computed powder diffraction line list of Sm4CdC2 (a crystal structure in Alexandria, relaxed with GGA-PBE; Cu Kα, 1.54184 Å).
Peak positions follow from Bragg's law for the DFT cell and can differ from measured ones.

Crystal structure
```
Sm4CdC2
1.0
1.822 1.052 15.028
-1.822 1.052 15.028
0.000 -2.104 15.028
Sm Cd C
4 1 2
direct
0.124 0.124 0.124 Sm
0.271 0.271 0.271 Sm
0.729 0.729 0.729 Sm
0.876 0.876 0.876 Sm
0.000 0.000 0.000 Cd
0.427 0.427 0.427 C
0.573 0.573 0.573 C
```

Principal peaks in the range 2θ = 10–90°, in order of falling intensity:
| 2θ (°) | Rel. int. |
| --- | --- |
| 31.57 | 100 |
| 32.51 | 79 |
| 50.05 | 43 |
| 29.72 | 36 |
| 38.57 | 31 |
| 59.30 | 31 |
| 28.35 | 28 |
| 30.00 | 25 |
| 60.97 | 22 |
| 49.70 | 18 |


# 12
Structure and computed powder diffraction line list of Tb6Cd2C (a crystal structure in Alexandria, relaxed with GGA-PBE; Cu Kα, 1.54184 Å).
Peak positions follow from Bragg's law for the DFT cell and can differ from measured ones.

Crystal structure
```
Tb6Cd2C
1.0
6.029 -3.502 0.000
6.029 3.502 0.000
-4.061 0.000 5.722
Tb Cd C
6 2 1
direct
0.209 0.719 0.708 Tb
0.244 0.244 0.814 Tb
0.281 0.791 0.292 Tb
0.719 0.209 0.708 Tb
0.756 0.756 0.186 Tb
0.791 0.281 0.292 Tb
0.252 0.252 0.257 Cd
0.748 0.748 0.743 Cd
0.000 0.000 0.500 C
```

Principal peaks in the range 2θ = 10–90°, in order of falling intensity:
| 2θ (°) | Rel. int. |
| --- | --- |
| 31.33 | 100 |
| 36.24 | 46 |
| 31.38 | 29 |
| 29.91 | 18 |
| 30.09 | 18 |
| 36.55 | 17 |
| 52.21 | 14 |
| 62.21 | 12 |
| 62.12 | 12 |
| 55.15 | 12 |